1.
For Nd3Ni6Ge5, a DFT-relaxed cell (GGA-PBE, Alexandria) gives the computed powder diffraction line list in this record (Cu Kα).
Lines closer than 0.1° are merged.

a b c (Å): 4.046 12.168 9.784
angles (deg): 90.00 90.00 90.00
Space group Pmmn (No. 59, origin choice 2)
Unique sites:
Nd  0.250  0.086  0.249 (multiplicity 4)
Nd  0.250  0.750  0.252 (multiplicity 2)
Ni  0.250  0.060  0.898 (multiplicity 4)
Ni  0.250  0.250  0.511 (multiplicity 2)
Ni  0.250  0.250  0.995 (multiplicity 2)
Ni  0.250  0.580  0.494 (multiplicity 4)
Ge  0.250  0.080  0.639 (multiplicity 4)
Ge  0.250  0.627  0.985 (multiplicity 4)
Ge  0.250  0.750  0.618 (multiplicity 2)

The 12 most intense peaks (2θ = 10–90°), in order of rising 2θ:
| 2θ/deg | I (rel.) | (hkl) |
| --- | --- | --- |
| 23.8 | 18 | 0 3 1 |
| 31.2 | 21 | 1 3 0 |
| 35.3 | 85 | 1 0 3 |
| 36.3 | 100 | 1 3 2 |
| 44.7 | 22 | 0 6 0 |
| 44.8 | 33 | 2 0 0 |
| 51.9 | 22 | 0 3 5 |
| 58.2 | 17 | 1 6 3 |
| 58.3 | 17 | 2 3 3 |
| 65.1 | 14 | 2 6 0 |
| 65.9 | 19 | 1 3 6 |
| 70.9 | 19 | 2 3 5 |

=====

2.
For CdPt, a DFT-relaxed cell (GGA-PBE, Alexandria) gives the computed powder diffraction line list in this record (Cu Kα).
Lines closer than 0.1° are merged.

a b c (Å): 8.261 8.261 4.604
angles (deg): 90.00 90.00 90.00
Space group I4/mmm (No. 139)
Unique sites:
Cd  0.000  0.278  0.000 (multiplicity 8)
Pt  0.169  0.169  0.500 (multiplicity 8)

The 12 most intense peaks (2θ = 10–90°), in order of rising 2θ:
| 2θ/deg | I (rel.) | (hkl) |
| --- | --- | --- |
| 21.5 | 26 | 2 0 0 |
| 22.1 | 11 | 1 0 1 |
| 34.3 | 10 | 3 1 0 |
| 38.1 | 100 | 3 0 1 |
| 39.1 | 28 | 0 0 2 |
| 44.2 | 27 | 3 2 1 |
| 45.1 | 8 | 2 0 2 |
| 46.6 | 23 | 3 3 0 |
| 62.5 | 19 | 3 3 2 |
| 70.2 | 17 | 3 0 3 |
| 80.8 | 11 | 6 3 1 |
| 85.5 | 8 | 6 2 2 |

=====

3.
For Th4HgPd15, a DFT-relaxed cell (GGA-PBE, Alexandria) gives the computed powder diffraction line list in this record (Cu Kα).
Lines closer than 0.1° are merged.

a b c (Å): 4.209 4.209 20.751
angles (deg): 90.00 90.00 90.00
Space group P4/mmm (No. 123)
Unique sites:
Th  0.000  0.000  0.103 (multiplicity 2)
Th  0.000  0.000  0.310 (multiplicity 2)
Hg  0.000  0.000  0.500 (multiplicity 1)
Pd  0.000  0.500  0.000 (multiplicity 2)
Pd  0.000  0.500  0.202 (multiplicity 4)
Pd  0.000  0.500  0.403 (multiplicity 4)
Pd  0.500  0.500  0.100 (multiplicity 2)
Pd  0.500  0.500  0.302 (multiplicity 2)
Pd  0.500  0.500  0.500 (multiplicity 1)

The 12 most intense peaks (2θ = 10–90°), in order of rising 2θ:
| 2θ/deg | I (rel.) | (hkl) |
| --- | --- | --- |
| 21.1 | 8 | 1 0 0 |
| 21.4 | 4 | 0 0 5 |
| 30.0 | 4 | 1 1 0 |
| 30.2 | 7 | 1 0 5 |
| 37.2 | 100 | 1 1 5 |
| 43.0 | 34 | 2 0 0 |
| 43.6 | 15 | 0 0 10 |
| 62.4 | 11 | 2 2 0 |
| 62.9 | 20 | 2 0 10 |
| 74.9 | 26 | 3 1 5 |
| 75.8 | 11 | 1 1 15 |
| 79.2 | 10 | 2 2 10 |

=====

4.
For Ge2PSe6, a DFT-relaxed cell (GGA-PBE, Alexandria) gives the computed powder diffraction line list in this record (Cu Kα).
Lines closer than 0.1° are merged.

a b c (Å): 13.826 13.532 6.192
angles (deg): 90.00 116.60 90.00
Space group C2/c (No. 15)
Unique sites:
Ge  0.249  0.085  0.058 (multiplicity 8)
P  0.000  0.251  0.750 (multiplicity 4)
Se  0.094  0.167  0.098 (multiplicity 8)
Se  0.094  0.336  0.591 (multiplicity 8)
Se  0.248  0.089  0.658 (multiplicity 8)

The 12 most intense peaks (2θ = 10–90°), in order of rising 2θ:
| 2θ/deg | I (rel.) | (hkl) |
| --- | --- | --- |
| 14.3 | 28 | 2 0 0 |
| 19.5 | 63 | 2 2 0 |
| 26.3 | 27 | 0 4 0 |
| 29.2 | 100 | 4 2 -1 |
| 30.5 | 32 | 3 1 -2 |
| 31.0 | 32 | 0 4 1 |
| 31.8 | 24 | 4 2 0 |
| 36.9 | 21 | 5 1 -2 |
| 42.7 | 23 | 2 6 0 |
| 43.9 | 22 | 6 0 0 |
| 50.1 | 43 | 4 6 0 |
| 51.3 | 23 | 6 2 -3 |